Structure and simulated powder X-ray diffraction pattern of Cs2Gd4Cu4Se9 (DFT lattice parameters and positions (PBE); Cu Kα).
Neutral-atom scattering factors, no anomalous dispersion.

Structural model:
a = 14.736 Å, b = 4.164 Å, c = 16.841 Å
α = 90.00°, β = 108.58°, γ = 90.00°
Space group C2/m (No. 12)
Unique sites:
Cs 0.030 0.000 0.272
Gd 0.154 0.500 0.555
Gd 0.230 0.000 0.102
Cu 0.074 0.500 0.968
Cu 0.247 0.000 0.730
Se 0.000 0.000 0.500
Se 0.105 0.500 0.124
Se 0.139 0.000 0.925
Se 0.159 0.500 0.725
Se 0.206 0.500 0.401

Most intense lines, 15° ≤ 2θ ≤ 90°, low angle first:
2θ = 28.10°, rel. 54, (3 1 -1); 2θ = 28.56°, rel. 93, (3 1 -2); 2θ = 28.76°, rel. 60, (3 1 0); 2θ = 30.09°, rel. 41, (3 1 -3); 2θ = 30.48°, rel. 79, (3 1 1); 2θ = 37.39°, rel. 43, (5 1 -2); 2θ = 43.45°, rel. 100, (0 2 0); 2θ = 43.99°, rel. 44, (3 1 -7)